For CeNdPt, a crystal structure in Alexandria, relaxed with PBE gives the theoretical powder X-ray diffraction pattern in this record (Cu Kα (weighted mean of Kα1 and Kα2)).
Peak positions follow from Bragg's law for the DFT cell and can differ from measured ones.

Unit cell a=7.057 b=7.057 c=7.057 alpha=90.00 beta=90.00 gamma=90.00
Fractional coordinates of all 12 atoms:
1 Ce 0.000 0.000 0.000
2 Ce 0.000 0.500 0.500
3 Ce 0.500 0.000 0.500
4 Ce 0.500 0.500 0.000
5 Nd 0.000 0.000 0.500
6 Nd 0.000 0.500 0.000
7 Nd 0.500 0.000 0.000
8 Nd 0.500 0.500 0.500
9 Pt 0.250 0.250 0.750
10 Pt 0.250 0.750 0.250
11 Pt 0.750 0.250 0.250
12 Pt 0.750 0.750 0.750

The 10 most intense peaks (10° ≤ 2θ ≤ 80°), by intensity:
36.0 deg, rel. 100
21.8 deg, rel. 38
64.7 deg, rel. 36
42.5 deg, rel. 21
51.8 deg, rel. 18
76.3 deg, rel. 11
56.9 deg, rel. 9
69.2 deg, rel. 7
25.2 deg, rel. 5
58.5 deg, rel. 2



For TbTm4Se5, a crystal structure in Alexandria, relaxed with PBE gives the theoretical powder X-ray diffraction pattern in this record (Cu Kα (weighted mean of Kα1 and Kα2)).
Peak positions follow from Bragg's law for the DFT cell and can differ from measured ones.

Unit cell a=6.996 b=6.996 c=9.842 alpha=118.13 beta=118.13 gamma=33.53
Fractional coordinates of all 10 atoms:
1 Tb 0.000 0.000 0.000
2 Tm 0.203 0.203 0.800
3 Tm 0.401 0.401 0.603
4 Tm 0.599 0.599 0.397
5 Tm 0.797 0.797 0.200
6 Se 0.000 0.000 0.500
7 Se 0.202 0.202 0.305
8 Se 0.397 0.397 0.103
9 Se 0.603 0.603 0.897
10 Se 0.798 0.798 0.695

The 10 most intense peaks (10° ≤ 2θ ≤ 80°), by intensity:
31.4 deg, rel. 100
44.9 deg, rel. 49
45.1 deg, rel. 24
27.1 deg, rel. 18
74.3 deg, rel. 17
55.8 deg, rel. 13
74.6 deg, rel. 11
65.4 deg, rel. 8
53.2 deg, rel. 7
55.7 deg, rel. 6



For Pm5PrEr2Th, a crystal structure in Alexandria, relaxed with PBE gives the theoretical powder X-ray diffraction pattern in this record (Cu Kα (weighted mean of Kα1 and Kα2)).
Peak positions follow from Bragg's law for the DFT cell and can differ from measured ones.

Unit cell a=10.596 b=10.596 c=10.553 alpha=90.00 beta=90.00 gamma=148.77
Fractional coordinates of all 18 atoms:
1 Pm 0.016 0.984 0.500
2 Pm 0.277 0.723 0.208
3 Pm 0.293 0.707 0.818
4 Pm 0.388 0.612 0.495
5 Pm 0.477 0.523 0.782
6 Pm 0.523 0.477 0.282
7 Pm 0.612 0.388 0.995
8 Pm 0.707 0.293 0.318
9 Pm 0.723 0.277 0.708
10 Pm 0.984 0.016 0.000
11 Pr 0.412 0.588 0.076
12 Pr 0.588 0.412 0.576
13 Er 0.113 0.887 0.788
14 Er 0.116 0.884 0.203
15 Er 0.884 0.116 0.703
16 Er 0.887 0.113 0.288
17 Th 0.199 0.801 0.509
18 Th 0.801 0.199 0.009

The 10 most intense peaks (10° ≤ 2θ ≤ 80°), by intensity:
31.8 deg, rel. 100
30.2 deg, rel. 46
31.4 deg, rel. 44
56.1 deg, rel. 22
27.6 deg, rel. 21
58.5 deg, rel. 15
61.0 deg, rel. 14
42.2 deg, rel. 13
50.9 deg, rel. 12
34.0 deg, rel. 11



For Pa2Cd3Bi3, a crystal structure in Alexandria, relaxed with PBE gives the theoretical powder X-ray diffraction pattern in this record (Cu Kα (weighted mean of Kα1 and Kα2)).
Peak positions follow from Bragg's law for the DFT cell and can differ from measured ones.

Unit cell a=4.806 b=5.053 c=8.708 alpha=90.00 beta=90.00 gamma=90.00
Fractional coordinates of all 8 atoms:
1 Pa 0.000 0.000 0.242
2 Pa 0.000 0.000 0.758
3 Cd 0.000 0.500 0.500
4 Cd 0.500 0.500 0.262
5 Cd 0.500 0.500 0.738
6 Bi 0.000 0.500 0.000
7 Bi 0.500 0.000 0.000
8 Bi 0.500 0.000 0.500

The 10 most intense peaks (10° ≤ 2θ ≤ 80°), by intensity:
32.9 deg, rel. 100
35.5 deg, rel. 21
37.4 deg, rel. 18
62.2 deg, rel. 16
64.7 deg, rel. 15
52.6 deg, rel. 14
41.5 deg, rel. 13
69.1 deg, rel. 12
55.7 deg, rel. 11
70.3 deg, rel. 11



For TlAsPtO6, a crystal structure in Alexandria, relaxed with PBE gives the theoretical powder X-ray diffraction pattern in this record (Cu Kα (weighted mean of Kα1 and Kα2)).
Peak positions follow from Bragg's law for the DFT cell and can differ from measured ones.

Unit cell a=5.151 b=5.151 c=4.820 alpha=90.00 beta=90.00 gamma=120.00
Fractional coordinates of all 9 atoms:
1 Tl 0.000 0.000 0.000
2 As 0.333 0.667 0.500
3 Pt 0.667 0.333 0.500
4 O 0.019 0.378 0.720
5 O 0.019 0.641 0.280
6 O 0.359 0.378 0.280
7 O 0.359 0.981 0.720
8 O 0.622 0.641 0.720
9 O 0.622 0.981 0.280

The 10 most intense peaks (10° ≤ 2θ ≤ 80°), by intensity:
27.2 deg, rel. 100
34.8 deg, rel. 38
52.0 deg, rel. 36
44.8 deg, rel. 26
57.9 deg, rel. 25
62.5 deg, rel. 11
61.3 deg, rel. 10
19.9 deg, rel. 9
37.3 deg, rel. 9
75.1 deg, rel. 8



For TiHg3S4, a crystal structure in Alexandria, relaxed with PBE gives the theoretical powder X-ray diffraction pattern in this record (Cu Kα (weighted mean of Kα1 and Kα2)).
Peak positions follow from Bragg's law for the DFT cell and can differ from measured ones.

Unit cell a=8.869 b=7.041 c=7.010 alpha=90.00 beta=90.00 gamma=90.00
Fractional coordinates of all 16 atoms:
1 Ti 0.000 0.198 0.000
2 Ti 0.500 0.802 0.500
3 Hg 0.000 0.827 0.508
4 Hg 0.245 0.685 0.003
5 Hg 0.255 0.315 0.503
6 Hg 0.500 0.173 0.008
7 Hg 0.745 0.315 0.503
8 Hg 0.755 0.685 0.003
9 S 0.000 0.222 0.672
10 S 0.000 0.879 0.084
11 S 0.210 0.332 0.132
12 S 0.290 0.668 0.632
13 S 0.500 0.121 0.584
14 S 0.500 0.778 0.172
15 S 0.710 0.668 0.632
16 S 0.790 0.332 0.132

The 10 most intense peaks (10° ≤ 2θ ≤ 80°), by intensity:
27.0 deg, rel. 100
25.4 deg, rel. 47
45.7 deg, rel. 39
28.4 deg, rel. 28
23.7 deg, rel. 27
25.3 deg, rel. 26
51.2 deg, rel. 26
43.6 deg, rel. 26
48.6 deg, rel. 24
40.7 deg, rel. 19



For Ce2Zn12Ni5, a crystal structure in Alexandria, relaxed with PBE gives the theoretical powder X-ray diffraction pattern in this record (Cu Kα (weighted mean of Kα1 and Kα2)).
Peak positions follow from Bragg's law for the DFT cell and can differ from measured ones.

Unit cell a=6.649 b=6.649 c=6.649 alpha=84.33 beta=84.33 gamma=84.33
Fractional coordinates of all 19 atoms:
1 Ce 0.169 0.169 0.169
2 Ce 0.831 0.831 0.831
3 Zn 0.154 0.154 0.644
4 Zn 0.154 0.644 0.154
5 Zn 0.217 0.500 0.783
6 Zn 0.217 0.783 0.500
7 Zn 0.356 0.846 0.846
8 Zn 0.500 0.217 0.783
9 Zn 0.500 0.783 0.217
10 Zn 0.644 0.154 0.154
11 Zn 0.783 0.217 0.500
12 Zn 0.783 0.500 0.217
13 Zn 0.846 0.356 0.846
14 Zn 0.846 0.846 0.356
15 Ni 0.000 0.500 0.500
16 Ni 0.387 0.387 0.387
17 Ni 0.500 0.000 0.500
18 Ni 0.500 0.500 0.000
19 Ni 0.613 0.613 0.613

The 10 most intense peaks (10° ≤ 2θ ≤ 80°), by intensity:
41.1 deg, rel. 100
40.4 deg, rel. 75
46.1 deg, rel. 42
43.1 deg, rel. 40
34.8 deg, rel. 40
36.8 deg, rel. 34
42.8 deg, rel. 31
29.2 deg, rel. 23
60.5 deg, rel. 21
77.6 deg, rel. 21



For Ho5Tm2Th4, a crystal structure in Alexandria, relaxed with PBE gives the theoretical powder X-ray diffraction pattern in this record (Cu Kα (weighted mean of Kα1 and Kα2)).
Peak positions follow from Bragg's law for the DFT cell and can differ from measured ones.

Unit cell a=3.561 b=8.611 c=11.790 alpha=75.46 beta=81.33 gamma=90.00
Fractional coordinates of all 11 atoms:
1 Ho 0.000 0.000 0.000
2 Ho 0.272 0.187 0.454
3 Ho 0.363 0.906 0.273
4 Ho 0.637 0.094 0.727
5 Ho 0.728 0.813 0.546
6 Tm 0.090 0.720 0.820
7 Tm 0.910 0.280 0.180
8 Th 0.183 0.452 0.636
9 Th 0.454 0.636 0.092
10 Th 0.546 0.364 0.908
11 Th 0.817 0.548 0.364

The 10 most intense peaks (10° ≤ 2θ ≤ 80°), by intensity:
30.8 deg, rel. 100
35.8 deg, rel. 45
31.2 deg, rel. 32
36.0 deg, rel. 22
61.6 deg, rel. 19
51.4 deg, rel. 16
51.9 deg, rel. 16
61.3 deg, rel. 14
61.1 deg, rel. 10
61.2 deg, rel. 10



For PuMgIn2Hg2, a crystal structure in Alexandria, relaxed with PBE gives the theoretical powder X-ray diffraction pattern in this record (Cu Kα (weighted mean of Kα1 and Kα2)).
Peak positions follow from Bragg's law for the DFT cell and can differ from measured ones.

Unit cell a=8.764 b=8.764 c=8.764 alpha=32.77 beta=32.77 gamma=32.77
Fractional coordinates of all 6 atoms:
1 Pu 0.000 0.000 0.000
2 Mg 0.500 0.500 0.500
3 In 0.388 0.388 0.388
4 In 0.612 0.612 0.612
5 Hg 0.247 0.247 0.247
6 Hg 0.753 0.753 0.753

The 10 most intense peaks (10° ≤ 2θ ≤ 80°), by intensity:
36.3 deg, rel. 100
35.7 deg, rel. 93
10.7 deg, rel. 69
25.3 deg, rel. 60
27.5 deg, rel. 55
65.0 deg, rel. 33
51.9 deg, rel. 32
65.4 deg, rel. 24
38.0 deg, rel. 21
77.2 deg, rel. 19



For KSr2Li, a crystal structure in Alexandria, relaxed with PBE gives the theoretical powder X-ray diffraction pattern in this record (Cu Kα (weighted mean of Kα1 and Kα2)).
Peak positions follow from Bragg's law for the DFT cell and can differ from measured ones.

Unit cell a=5.987 b=6.006 c=11.066 alpha=90.00 beta=90.00 gamma=90.00
Fractional coordinates of all 8 atoms:
1 K 0.000 0.000 0.000
2 K 0.500 0.500 0.000
3 Sr 0.000 0.500 0.313
4 Sr 0.000 0.500 0.687
5 Sr 0.500 0.000 0.313
6 Sr 0.500 0.000 0.687
7 Li 0.000 0.000 0.500
8 Li 0.500 0.500 0.500

The 10 most intense peaks (10° ≤ 2θ ≤ 80°), by intensity:
26.5 deg, rel. 100
29.8 deg, rel. 62
22.5 deg, rel. 56
21.0 deg, rel. 50
38.7 deg, rel. 48
24.1 deg, rel. 43
32.2 deg, rel. 33
46.3 deg, rel. 28
49.6 deg, rel. 23
42.6 deg, rel. 23



For CsCaMg4, a crystal structure in Alexandria, relaxed with PBE gives the theoretical powder X-ray diffraction pattern in this record (Cu Kα (weighted mean of Kα1 and Kα2)).
Peak positions follow from Bragg's law for the DFT cell and can differ from measured ones.

Unit cell a=6.533 b=6.533 c=6.533 alpha=60.00 beta=60.00 gamma=60.00
Fractional coordinates of all 6 atoms:
1 Cs 0.000 0.000 0.000
2 Ca 0.750 0.750 0.750
3 Mg 0.377 0.377 0.377
4 Mg 0.377 0.377 0.869
5 Mg 0.377 0.869 0.377
6 Mg 0.869 0.377 0.377

The 10 most intense peaks (10° ≤ 2θ ≤ 80°), by intensity:
32.1 deg, rel. 100
27.3 deg, rel. 68
16.6 deg, rel. 41
51.4 deg, rel. 35
48.3 deg, rel. 27
56.3 deg, rel. 21
19.2 deg, rel. 21
79.7 deg, rel. 21
33.6 deg, rel. 16
77.3 deg, rel. 13



For Ho3Sc2Ru4, a crystal structure in Alexandria, relaxed with PBE gives the theoretical powder X-ray diffraction pattern in this record (Cu Kα (weighted mean of Kα1 and Kα2)).
Peak positions follow from Bragg's law for the DFT cell and can differ from measured ones.

Unit cell a=4.750 b=4.750 c=8.917 alpha=90.00 beta=90.00 gamma=120.00
Fractional coordinates of all 9 atoms:
1 Ho 0.000 0.000 0.000
2 Ho 0.333 0.667 0.591
3 Ho 0.667 0.333 0.409
4 Sc 0.333 0.667 0.202
5 Sc 0.667 0.333 0.798
6 Ru 0.000 0.000 0.351
7 Ru 0.000 0.000 0.649
8 Ru 0.333 0.667 0.896
9 Ru 0.667 0.333 0.104

The 10 most intense peaks (10° ≤ 2θ ≤ 80°), by intensity:
37.9 deg, rel. 100
37.3 deg, rel. 87
54.2 deg, rel. 29
68.1 deg, rel. 29
23.8 deg, rel. 28
68.4 deg, rel. 17
66.9 deg, rel. 12
56.6 deg, rel. 9
19.9 deg, rel. 8
79.6 deg, rel. 7



For Mn3CrGa3, a crystal structure in Alexandria, relaxed with PBE gives the theoretical powder X-ray diffraction pattern in this record (Cu Kα (weighted mean of Kα1 and Kα2)).
Peak positions follow from Bragg's law for the DFT cell and can differ from measured ones.

Unit cell a=5.389 b=5.389 c=7.064 alpha=90.00 beta=90.00 gamma=98.10
Fractional coordinates of all 14 atoms:
1 Mn 0.227 0.773 0.000
2 Mn 0.228 0.772 0.500
3 Mn 0.298 0.298 0.500
4 Mn 0.702 0.702 0.500
5 Mn 0.772 0.228 0.500
6 Mn 0.773 0.227 0.000
7 Cr 0.304 0.304 0.000
8 Cr 0.696 0.696 0.000
9 Ga 0.000 0.000 0.247
10 Ga 0.000 0.000 0.753
11 Ga 0.000 0.500 0.249
12 Ga 0.000 0.500 0.751
13 Ga 0.500 0.000 0.249
14 Ga 0.500 0.000 0.751

The 10 most intense peaks (10° ≤ 2θ ≤ 80°), by intensity:
42.5 deg, rel. 100
51.8 deg, rel. 26
44.5 deg, rel. 23
70.6 deg, rel. 17
30.3 deg, rel. 13
44.0 deg, rel. 12
39.9 deg, rel. 11
16.6 deg, rel. 9
76.3 deg, rel. 8
36.0 deg, rel. 5